Rb4MnCl6: computed powder diffractogram (Cu Kα (weighted mean of Kα1 and Kα2)), based on a DFT-relaxed cell (GGA-PBE, Alexandria).
Neutral-atom scattering factors, no anomalous dispersion.

Structural model:
Cell: 8.968 8.968 9.315 Å, 90.00 90.00 90.00°
Space group P4/mnc (No. 128)
Asymmetric unit:
Rb (0.172, 0.328, 0.250) [8 per cell]
Mn (0.000, 0.000, 0.000) [2 per cell]
Cl (0.000, 0.000, 0.267) [4 per cell]
Cl (0.088, 0.717, 0.000) [8 per cell]

Principal peaks in the range 10 to 90 degrees two-theta, sorted by position:
13.71°, d = 6.461 Å, intensity 28, (1 0 1); 22.16°, d = 4.011 Å, intensity 27, (2 1 0); 29.39°, d = 3.039 Å, intensity 100, (2 1 2); 31.55°, d = 2.836 Å, intensity 40, (3 1 0); 38.66°, d = 2.329 Å, intensity 19, (0 0 4); 41.52°, d = 2.175 Å, intensity 17, (4 1 0); 46.05°, d = 1.971 Å, intensity 17, (4 1 2); 50.72°, d = 1.800 Å, intensity 18, (3 1 4)

CaPr3Dy8: computed powder diffractogram (Cu Kα (weighted mean of Kα1 and Kα2)), based on a DFT-relaxed cell (GGA-PBE, Alexandria).
Neutral-atom scattering factors, no anomalous dispersion.

Structural model:
Cell: 8.770 8.770 11.805 Å, 90.00 90.00 90.00°
Space group I-42m (No. 121)
Asymmetric unit:
Ca (0.000, 0.000, 0.000) [2 per cell]
Pr (0.000, 0.000, 0.500) [2 per cell]
Pr (0.000, 0.500, 0.250) [4 per cell]
Dy (0.134, 0.134, 0.272) [8 per cell]
Dy (0.233, 0.233, 0.540) [8 per cell]

Principal peaks in the range 10 to 90 degrees two-theta, sorted by position:
12.57°, d = 7.040 Å, intensity 40, (1 0 1); 23.91°, d = 3.722 Å, intensity 72, (2 1 1); 25.30°, d = 3.520 Å, intensity 54, (2 0 2); 28.79°, d = 3.101 Å, intensity 70, (2 2 0); 30.28°, d = 2.951 Å, intensity 47, (0 0 4); 32.24°, d = 2.777 Å, intensity 69, (2 1 3); 33.63°, d = 2.665 Å, intensity 43, (1 1 4); 35.77°, d = 2.510 Å, intensity 100, (3 1 2)